Record 1
Ag: simulated powder XRD pattern (Cu Kα), based on a DFT-relaxed cell (PBE, the Materials Project).
No peak broadening, texture or thermal motion is included.

Atomic structure:
a b c (Å): 2.9526 2.9526 4.7983
angles (deg): 90.00 90.00 120.00
Space group P6_3/mmc (No. 194)
Asymmetric unit:
Ag 0.3333 0.6667 0.2500 (multiplicity 2)

Most intense lines, 2θ = 10–90°, in order of falling intensity:
2θ 39.95, 2.257 Å, I 100, (1 0 1); 2θ 37.49, 2.399 Å, I 27, (0 0 2); 2θ 35.09, 2.557 Å, I 24, (1 0 0); 2θ 75.63, 1.257 Å, I 19, (1 1 2); 2θ 69.29, 1.356 Å, I 18, (1 0 3); 2θ 62.96, 1.476 Å, I 16, (1 1 0); 2θ 52.29, 1.750 Å, I 15, (1 0 2); 2θ 77.22, 1.235 Å, I 13, (2 0 1); 2θ 86.20, 1.128 Å, I 3, (2 0 2); 2θ 79.98, 1.200 Å, I 3, (0 0 4); 2θ 74.17, 1.279 Å, I 2, (2 0 0)

=====

Record 2
Li2H2BrN: simulated powder XRD pattern (Cu Kα), based on a DFT-relaxed cell (PBE, the Materials Project).
No peak broadening, texture or thermal motion is included.

Atomic structure:
a b c (Å): 12.6646 7.7972 7.9373
angles (deg): 90.00 90.00 90.00
Space group Pnma (No. 62)
Asymmetric unit:
Li 0.0461 0.0109 0.1914 (multiplicity 8)
Li 0.0716 0.2500 0.6599 (multiplicity 4)
Li 0.1256 0.7500 0.6866 (multiplicity 4)
H 0.0866 0.0090 0.7275 (multiplicity 8)
H 0.1600 0.5054 0.3708 (multiplicity 8)
Br 0.1522 0.7500 0.3606 (multiplicity 4)
Br 0.1598 0.2500 0.3638 (multiplicity 4)
N 0.0152 0.6759 0.0035 (multiplicity 8)

Most intense lines, 2θ = 10–90°, in order of falling intensity:
2θ 17.92, 4.950 Å, I 100, (2 0 1); 2θ 23.87, 3.727 Å, I 77, (3 0 1); 2θ 23.49, 3.787 Å, I 71, (1 0 2); 2θ 22.81, 3.899 Å, I 69, (0 2 0); 2θ 32.97, 2.716 Å, I 58, (1 2 2); 2θ 29.16, 3.063 Å, I 51, (2 2 1); 2θ 33.26, 2.694 Å, I 45, (3 2 1); 2θ 48.62, 1.873 Å, I 30, (5 2 2); 2θ 42.33, 2.135 Å, I 24, (5 0 2); 2θ 38.34, 2.348 Å, I 21, (4 2 1); 2θ 41.88, 2.157 Å, I 21, (1 2 3); 2θ 46.74, 1.943 Å, I 18, (3 2 3)

=====

Record 3
AsBr3F6: simulated powder XRD pattern (Cu Kα), based on a DFT-relaxed cell (PBE, the Materials Project).
No peak broadening, texture or thermal motion is included.

Atomic structure:
a b c (Å): 5.7872 7.8757 9.9589
angles (deg): 88.03 82.20 82.51
Space group P-1 (No. 2)
Asymmetric unit:
As 0.0660 0.2147 0.2012 (multiplicity 2)
Br 0.3032 0.2281 0.5499 (multiplicity 2)
Br 0.3221 0.2055 0.7827 (multiplicity 2)
Br 0.4091 0.6111 0.1800 (multiplicity 2)
F 0.0439 0.0016 0.2600 (multiplicity 2)
F 0.0998 0.4310 0.1422 (multiplicity 2)
F 0.1386 0.7034 0.6624 (multiplicity 2)
F 0.1552 0.7922 0.9019 (multiplicity 2)
F 0.2850 0.1379 0.0671 (multiplicity 2)
F 0.3006 0.2246 0.3026 (multiplicity 2)

Most intense lines, 2θ = 10–90°, in order of falling intensity:
2θ 20.45, 4.342 Å, I 100, (1 -1 0); 2θ 23.13, 3.846 Å, I 95, (-1 1 1); 2θ 22.78, 3.904 Å, I 88, (0 2 0); 2θ 21.22, 4.187 Å, I 81, (1 1 -1); 2θ 17.98, 4.933 Å, I 72, (0 0 2); 2θ 21.59, 4.116 Å, I 55, (1 -1 1); 2θ 27.12, 3.288 Å, I 50, (0 0 3); 2θ 32.15, 2.784 Å, I 40, (2 1 1); 2θ 43.84, 2.065 Å, I 39, (-1 1 4); 2θ 36.64, 2.453 Å, I 34, (2 2 0); 2θ 28.61, 3.120 Å, I 32, (-1 1 2); 2θ 18.09, 4.903 Å, I 31, (1 1 0)

=====

Record 4
Ca2Zn4As4O17: simulated powder XRD pattern (Cu Kα), based on a DFT-relaxed cell (PBE, the Materials Project).
No peak broadening, texture or thermal motion is included.

Atomic structure:
a b c (Å): 19.8196 7.8088 9.9596
angles (deg): 90.00 102.37 90.00
Space group C2/c (No. 15)
Asymmetric unit:
Ca 0.1017 0.2395 0.4060 (multiplicity 8)
Zn 0.0938 0.4045 0.7025 (multiplicity 8)
Zn 0.2129 0.0736 0.9881 (multiplicity 8)
As 0.0606 0.2726 0.9835 (multiplicity 8)
As 0.2473 0.2511 0.2959 (multiplicity 8)
O 0.0000 0.1656 0.2500 (multiplicity 4)
O 0.0275 0.2505 0.5700 (multiplicity 8)
O 0.0758 0.3426 0.1552 (multiplicity 8)
O 0.0846 0.4422 0.8916 (multiplicity 8)
O 0.1049 0.0904 0.9624 (multiplicity 8)
O 0.1670 0.2911 0.6318 (multiplicity 8)
O 0.1909 0.0978 0.3311 (multiplicity 8)
O 0.2226 0.4318 0.3699 (multiplicity 8)
O 0.2326 0.2776 0.1203 (multiplicity 8)

Most intense lines, 2θ = 10–90°, in order of falling intensity:
2θ 27.65, 3.226 Å, I 100, (6 0 0); 2θ 31.99, 2.798 Å, I 90, (2 2 2); 2θ 22.79, 3.901 Å, I 82, (0 2 0); 2θ 29.26, 3.052 Å, I 58, (1 1 -3); 2θ 29.55, 3.023 Å, I 57, (2 2 -2); 2θ 34.03, 2.635 Å, I 56, (5 1 -3); 2θ 25.68, 3.469 Å, I 55, (5 1 0); 2θ 58.49, 1.578 Å, I 48, (3 3 -5); 2θ 12.22, 7.242 Å, I 46, (1 1 0); 2θ 31.11, 2.875 Å, I 45, (1 1 3); 2θ 32.58, 2.749 Å, I 45, (4 2 -2); 2θ 23.37, 3.806 Å, I 34, (3 1 -2)